Computed X-ray powder pattern of TaTiN2 for copper Kα, from a structure optimized by DFT (PBE).
No peak broadening, texture or thermal motion is included.

Atomic structure:
```
TaTiN2
1.0
3.0771 0.0000 0.0000
0.0000 3.0771 0.0000
0.0000 0.0000 4.3343
Ta Ti N
1 1 2
Direct
0.0000 0.0000 0.0000 Ta
0.5000 0.5000 0.5000 Ti
0.0000 0.0000 0.5000 N
0.5000 0.5000 0.0000 N
```

Top 10 peaks for 15 to 90 degrees two-theta, in order of rising 2θ:
2θ 20.5, I 42; 2θ 29.0, I 37; 2θ 35.8, I 100; 2θ 41.5, I 53; 2θ 41.7, I 26; 2θ 46.7, I 21; 2θ 60.1, I 17; 2θ 60.3, I 33; 2θ 72.0, I 27; 2θ 75.8, I 17

***

Computed X-ray powder pattern of TaV3N4 for copper Kα, from a structure optimized by DFT (PBE).
No peak broadening, texture or thermal motion is included.

Atomic structure:
```
TaV3N4
1.0
4.2202 0.0000 0.0000
0.0000 4.2202 0.0000
0.0000 0.0000 4.2202
Ta V N
1 3 4
Direct
0.0000 0.0000 0.0000 Ta
0.0000 0.5000 0.5000 V
0.5000 0.0000 0.5000 V
0.5000 0.5000 0.0000 V
0.0000 0.0000 0.5000 N
0.0000 0.5000 0.0000 N
0.5000 0.0000 0.0000 N
0.5000 0.5000 0.5000 N
```

Top 10 peaks for 15 to 90 degrees two-theta, in order of rising 2θ:
2θ 21.1, I 65; 2θ 29.9, I 56; 2θ 36.9, I 100; 2θ 42.9, I 92; 2θ 48.2, I 32; 2θ 53.2, I 24; 2θ 62.2, I 56; 2θ 66.5, I 16; 2θ 74.6, I 39; 2θ 78.5, I 18

***

Computed X-ray powder pattern of ZrTa2N3 for copper Kα, from a structure optimized by DFT (PBE).
No peak broadening, texture or thermal motion is included.

Atomic structure:
```
ZrTa2N3
1.0
5.2828 0.0000 0.0000
-2.6414 4.5750 0.0000
0.0000 0.0000 2.9844
Zr Ta N
1 2 3
Direct
0.0000 0.0000 0.0000 Zr
0.3333 0.6667 0.5000 Ta
0.6667 0.3333 0.5000 Ta
0.0000 0.5000 0.0000 N
0.5000 0.0000 0.0000 N
0.5000 0.5000 0.0000 N
```

Top 10 peaks for 15 to 90 degrees two-theta, in order of rising 2θ:
2θ 19.4, I 20; 2θ 29.9, I 12; 2θ 33.9, I 100; 2θ 35.9, I 60; 2θ 45.9, I 35; 2θ 50.3, I 32; 2θ 60.7, I 19; 2θ 62.0, I 25; 2θ 71.4, I 14; 2θ 72.8, I 22

***

Computed X-ray powder pattern of TcN2 for copper Kα, from a structure optimized by DFT (PBE).
No peak broadening, texture or thermal motion is included.

Atomic structure:
```
TcN2
1.0
0.0000 2.4445 2.4445
2.4445 0.0000 2.4445
2.4445 2.4445 0.0000
Tc N
1 2
Direct
0.0000 0.0000 0.0000 Tc
0.2500 0.2500 0.2500 N
0.7500 0.7500 0.7500 N
```

Top 8 peaks for 15 to 90 degrees two-theta, in order of rising 2θ:
2θ 31.7, I 100; 2θ 36.8, I 27; 2θ 53.0, I 51; 2θ 63.1, I 40; 2θ 66.2, I 7; 2θ 78.2, I 7; 2θ 86.8, I 16; 2θ 89.7, I 10

***

Computed X-ray powder pattern of Tc3N for copper Kα, from a structure optimized by DFT (PBE).
No peak broadening, texture or thermal motion is included.

Atomic structure:
```
Tc3N
1.0
2.8206 0.0000 0.0000
-1.4103 2.4427 0.0000
0.0000 0.0000 7.0992
Tc N
3 1
Direct
0.0000 0.0000 0.0000 Tc
0.6667 0.3333 0.3037 Tc
0.6667 0.3333 0.6963 Tc
0.0000 0.0000 0.5000 N
```

Top 10 peaks for 15 to 90 degrees two-theta, in order of rising 2θ:
2θ 36.8, I 50; 2θ 38.0, I 33; 2θ 39.0, I 49; 2θ 45.1, I 100; 2θ 53.9, I 23; 2θ 66.3, I 27; 2θ 77.8, I 23; 2θ 79.0, I 23; 2θ 79.7, I 6; 2θ 83.8, I 16

***

Computed X-ray powder pattern of YTcN3 for copper Kα, from a structure optimized by DFT (PBE).
No peak broadening, texture or thermal motion is included.

Atomic structure:
```
YTcN3
1.0
4.0664 0.0000 0.0000
0.0000 1.9978 3.6922
0.0000 -1.9978 3.6922
Y Tc N
1 1 3
Direct
0.0000 0.0000 0.0000 Y
0.5000 0.6945 0.6945 Tc
0.0000 0.6793 0.6793 N
0.5000 0.2463 0.5803 N
0.5000 0.5803 0.2463 N
```

Top 10 peaks for 15 to 90 degrees two-theta, in order of rising 2θ:
2θ 25.3, I 54; 2θ 32.8, I 53; 2θ 33.7, I 100; 2θ 43.2, I 44; 2θ 44.6, I 26; 2θ 45.4, I 17; 2θ 52.0, I 19; 2θ 57.1, I 30; 2θ 63.8, I 26; 2θ 72.0, I 18